[1]
This entry pairs a crystal structure of HgSb2O6 with its computed X-ray diffraction stick pattern. Radiation: copper Kα. Structure: DFT lattice parameters and positions (PBE).

```
18
Lattice="4.925 0.000 0.000 0.000 4.925 0.000 0.000 0.000 9.807" Properties=species:S:1:pos:R:3 pbc="T T T"
Hg 0.000 0.000 0.000
Hg 2.463 2.463 4.904
Sb 0.000 0.000 3.251
Sb 0.000 0.000 6.556
Sb 2.463 2.463 1.653
Sb 2.463 2.463 8.155
O 0.861 0.861 4.904
O 1.034 1.034 1.837
O 1.034 1.034 7.971
O 1.429 3.497 3.067
O 1.429 3.497 6.740
O 1.602 3.323 0.000
O 3.323 1.602 0.000
O 3.497 1.429 3.067
O 3.497 1.429 6.740
O 3.891 3.891 1.837
O 3.891 3.891 7.971
O 4.065 4.065 4.904
```

Largest 6 diffraction maxima, low angle first, 2θ from 10° to 90°:
- 25.58°, intensity 100
- 32.88°, intensity 86
- 36.49°, intensity 26
- 49.93°, intensity 67
- 59.33°, intensity 17
- 63.40°, intensity 19



[2]
This entry pairs a crystal structure of EuAs2Ru2 with its computed X-ray diffraction stick pattern. Radiation: copper Kα. Structure: DFT lattice parameters and positions (PBE).

```
5
Lattice="-2.108 2.108 5.381 2.108 -2.108 5.381 2.108 2.108 -5.381" Properties=species:S:1:pos:R:3 pbc="T T T"
Eu 0.000 0.000 0.000
As 0.000 0.000 3.922
As 0.000 0.000 6.839
Ru 2.108 0.000 2.690
Ru 0.000 2.108 2.690
```

Largest 6 diffraction maxima, low angle first, 2θ from 10° to 90°:
- 32.78°, intensity 79
- 34.40°, intensity 100
- 42.91°, intensity 62
- 55.03°, intensity 36
- 60.22°, intensity 30
- 73.14°, intensity 22



What is the formula in the second record?
EuAs2Ru2